Record 1
The following is a simulated X-ray powder pattern of Li5CuP2. It was derived from a DFT-relaxed cell (PBE, Alexandria), using Cu Ka.
Lines closer than 0.1° are merged.

Largest 8 diffraction maxima, by intensity, 15° ≤ 2θ ≤ 90°:
| 2θ (°) | I/Imax |
| --- | --- |
| 24.3 | 100.0 |
| 41.5 | 36.6 |
| 23.6 | 28.6 |
| 47.7 | 25.7 |
| 55.2 | 14.5 |
| 48.7 | 13.7 |
| 64.4 | 10.9 |
| 80.2 | 10.5 |

```
Li5CuP2
1.0
4.3493 0.0000 0.0000
-2.1746 3.7666 0.0000
0.0000 0.0000 15.4899
Li Cu P
10 2 4
direct
0.0000 0.0000 0.1314
0.0000 0.0000 0.3686
0.0000 0.0000 0.6314
0.0000 0.0000 0.8686
0.3333 0.6667 0.0524
0.3333 0.6667 0.2500
0.3333 0.6667 0.4476
0.6667 0.3333 0.5524
0.6667 0.3333 0.7500
0.6667 0.3333 0.9476
0.3333 0.6667 0.7500
0.6667 0.3333 0.2500
0.3333 0.6667 0.6103
0.3333 0.6667 0.8897
0.6667 0.3333 0.1103
0.6667 0.3333 0.3897
```

=====

Record 2
The following is a simulated X-ray powder pattern of LiPmCu2P2. It was derived from a DFT-relaxed cell (PBE, Alexandria), using Cu Ka.
Lines closer than 0.1° are merged.

Largest 8 diffraction maxima, by intensity, 15° ≤ 2θ ≤ 90°:
| 2θ (°) | I/Imax |
| --- | --- |
| 28.9 | 100.0 |
| 37.2 | 78.8 |
| 45.1 | 50.8 |
| 62.1 | 27.9 |
| 59.8 | 19.1 |
| 40.3 | 17.4 |
| 78.0 | 17.3 |
| 54.4 | 16.7 |

```
LiPmCu2P2
1.0
4.0206 0.0000 0.0000
-2.0103 3.4819 0.0000
0.0000 0.0000 6.7112
Li Pm Cu P
1 1 2 2
direct
0.0000 0.0000 0.0000
0.0000 0.0000 0.5000
0.3333 0.6667 0.1642
0.6667 0.3333 0.8358
0.3333 0.6667 0.7691
0.6667 0.3333 0.2309
```

=====

Record 3
The following is a simulated X-ray powder pattern of Li2TlCuP. It was derived from a DFT-relaxed cell (PBE, Alexandria), using Cu Ka.
Lines closer than 0.1° are merged.

Largest 8 diffraction maxima, by intensity, 15° ≤ 2θ ≤ 90°:
| 2θ (°) | I/Imax |
| --- | --- |
| 26.2 | 100.0 |
| 33.5 | 77.9 |
| 20.5 | 54.1 |
| 27.7 | 53.3 |
| 37.4 | 44.9 |
| 49.9 | 34.2 |
| 43.0 | 33.3 |
| 57.2 | 25.9 |

```
Li2TlCuP
1.0
4.8055 0.0000 0.0000
0.0000 4.8055 0.0000
0.0000 0.0000 4.3385
Li Tl Cu P
2 1 1 1
direct
0.0000 0.5000 0.0000
0.5000 0.0000 0.0000
0.0000 0.0000 0.5000
0.5000 0.5000 0.5000
0.5000 0.5000 0.0000
```

=====

Record 4
The following is a simulated X-ray powder pattern of LiPa2CuS6. It was derived from a DFT-relaxed cell (PBE, Alexandria), using Cu Ka.
Lines closer than 0.1° are merged.

Largest 8 diffraction maxima, by intensity, 15° ≤ 2θ ≤ 90°:
| 2θ (°) | I/Imax |
| --- | --- |
| 18.5 | 100.0 |
| 25.1 | 59.3 |
| 27.6 | 42.5 |
| 40.5 | 32.3 |
| 40.6 | 32.2 |
| 48.8 | 25.5 |
| 33.4 | 23.8 |
| 47.3 | 23.0 |

```
LiPa2CuS6
1.0
6.4679 0.0000 0.0000
3.2319 5.6031 0.0000
3.2336 -1.8610 6.1301
Li Pa Cu S
1 2 1 6
direct
0.0000 0.0000 0.0000
0.6250 0.6875 0.0626
0.6276 0.1864 0.5586
0.9931 0.5037 0.5132
0.1196 0.6015 0.7912
0.1208 0.7678 0.2976
0.4709 0.1113 0.2970
0.4866 0.9120 0.7922
0.8098 0.2792 0.7916
0.8144 0.4185 0.2974
```

=====

Record 5
The following is a simulated X-ray powder pattern of Li2PaCu2Te4. It was derived from a DFT-relaxed cell (PBE, Alexandria), using Cu Ka.
Lines closer than 0.1° are merged.

Largest 8 diffraction maxima, by intensity, 15° ≤ 2θ ≤ 90°:
| 2θ (°) | I/Imax |
| --- | --- |
| 30.9 | 100.0 |
| 23.9 | 90.6 |
| 26.6 | 78.5 |
| 35.4 | 76.4 |
| 30.2 | 70.0 |
| 44.1 | 60.9 |
| 44.0 | 48.2 |
| 37.8 | 42.3 |

```
Li2PaCu2Te4
1.0
7.7277 -2.0598 0.0000
7.7277 2.0598 0.0000
-4.3559 0.0000 7.6008
Li Pa Cu Te
2 1 2 4
direct
0.1236 0.1236 0.2266
0.8764 0.8764 0.7734
0.0000 0.0000 0.5000
0.3193 0.3193 0.5103
0.6807 0.6807 0.4897
0.2280 0.2280 0.7106
0.4934 0.4934 0.2317
0.5066 0.5066 0.7683
0.7720 0.7720 0.2894
```

=====

Record 6
The following is a simulated X-ray powder pattern of LiCuPb2. It was derived from a DFT-relaxed cell (PBE, Alexandria), using Cu Ka.
Lines closer than 0.1° are merged.

Largest 8 diffraction maxima, by intensity, 15° ≤ 2θ ≤ 90°:
| 2θ (°) | I/Imax |
| --- | --- |
| 36.4 | 100.0 |
| 35.6 | 69.6 |
| 24.5 | 41.2 |
| 25.4 | 40.3 |
| 25.8 | 38.8 |
| 35.3 | 35.9 |
| 44.0 | 18.9 |
| 44.9 | 17.2 |

```
LiCuPb2
1.0
3.4606 0.0000 0.0000
0.0000 3.5119 0.0000
-0.2130 0.0000 7.2598
Li Cu Pb
1 1 2
direct
0.0000 0.0000 0.0000
0.0000 0.0000 0.5000
0.4944 0.5000 0.7330
0.5056 0.5000 0.2670
```